MgNiMoP2O9: calculated XRD peak list (λ = 1.5418 Å (Cu Kα)), based on a GGA+U-relaxed structure.
Kinematic intensities with the Lorentz-polarization factor, no thermal factor.

```
data_MgNiMoP2O9
_symmetry_space_group_name_H-M 'P n m a'
_symmetry_Int_Tables_number 62
_cell_length_a 14.243
_cell_length_b 6.484
_cell_length_c 7.603
_cell_angle_alpha 90.00
_cell_angle_beta 90.00
_cell_angle_gamma 90.00
loop_
_symmetry_equiv_pos_as_xyz
'x,y,z'
'-x,-y,-z'
'-x+1/2,-y,z+1/2'
'x+1/2,y,-z+1/2'
'x+1/2,-y+1/2,-z+1/2'
'-x+1/2,y+1/2,z+1/2'
'-x,y+1/2,-z'
'x,-y+1/2,z'
loop_
_atom_site_label
_atom_site_fract_x
_atom_site_fract_y
_atom_site_fract_z
Mg1 0.192 0.250 0.041
Ni1 0.000 0.000 0.000
Mo1 0.118 0.250 0.639
P1 0.074 0.750 0.651
P2 0.188 0.750 0.127
O1 0.005 0.250 0.488
O2 0.027 0.750 0.834
O3 0.069 0.250 0.880
O4 0.131 0.546 0.120
O5 0.141 0.566 0.625
O6 0.236 0.250 0.478
O7 0.248 0.250 0.796
```

Top 10 peaks for 2θ = 10–90°, by angle:
2θ/deg, d (Å), I (rel.), index
17.06, 5.197, 86, 2 0 1
17.98, 4.933, 48, 0 1 1
24.23, 3.673, 100, 1 0 2
27.51, 3.242, 40, 0 2 0
30.12, 2.967, 34, 3 0 2
30.63, 2.919, 63, 1 2 1
32.55, 2.751, 36, 2 2 1
33.60, 2.668, 39, 5 0 1
54.76, 1.676, 32, 4 0 4
56.27, 1.635, 31, 5 2 3